(1)
Structure and calculated powder diffractogram of Li4V7O9F7 (a cell relaxed with GGA+U; copper Kα).

Peak list (12 most intense, 15 to 90 degrees two-theta, in order of rising 2θ)
2θ 17.3, rel. 6.9, (2 0 -1); 2θ 17.7, rel. 18.7, (0 0 2); 2θ 18.0, rel. 100.0, (2 0 0); 2θ 34.3, rel. 9.3, (2 0 -4); 2θ 34.5, rel. 9.4, (1 1 3); 2θ 34.8, rel. 27.0, (0 2 2); 2θ 42.0, rel. 27.3, (4 0 -4); 2θ 42.3, rel. 53.1, (2 2 2); 2θ 55.9, rel. 13.7, (4 2 2); 2θ 60.7, rel. 17.0, (2 2 -6); 2θ 61.0, rel. 7.4, (4 0 4); 2θ 61.6, rel. 23.3, (0 4 0)

Cell and atoms:
a = 10.439 Å, b = 6.021 Å, c = 10.629 Å
α = 90.00°, β = 109.50°, γ = 90.00°
Space group Cm (No. 8)
One atom of each set of equivalent atoms:
Li 0.000 0.000 0.000 (multiplicity 2)
Li 0.004 0.500 0.501 (multiplicity 2)
Li 0.386 0.000 0.113 (multiplicity 2)
Li 0.394 0.500 0.610 (multiplicity 2)
V 0.188 0.263 0.799 (multiplicity 4)
V 0.196 0.500 0.056 (multiplicity 2)
V 0.201 0.252 0.298 (multiplicity 4)
V 0.214 0.000 0.564 (multiplicity 2)
V 0.438 0.500 0.292 (multiplicity 2)
O 0.081 0.000 0.206 (multiplicity 2)
O 0.091 0.500 0.184 (multiplicity 2)
O 0.093 0.500 0.689 (multiplicity 2)
O 0.099 0.000 0.680 (multiplicity 2)
O 0.296 0.500 0.923 (multiplicity 2)
O 0.299 0.000 0.427 (multiplicity 2)
O 0.317 0.274 0.180 (multiplicity 4)
O 0.320 0.500 0.408 (multiplicity 2)
F 0.079 0.232 0.431 (multiplicity 4)
F 0.081 0.251 0.932 (multiplicity 4)
F 0.299 0.000 0.914 (multiplicity 2)
F 0.315 0.248 0.678 (multiplicity 4)



(2)
Structure and calculated powder diffractogram of LiV2OF5 (a cell relaxed with GGA+U; copper Kα).

Peak list (12 most intense, 15 to 90 degrees two-theta, in order of rising 2θ)
2θ 23.3, rel. 100.0, (1 -1 0); 2θ 23.9, rel. 50.4, (0 0 3); 2θ 32.1, rel. 14.1, (0 2 -1); 2θ 32.7, rel. 23.6, (1 1 2); 2θ 39.4, rel. 15.6, (1 2 -3); 2θ 39.5, rel. 15.1, (2 1 0); 2θ 40.3, rel. 13.3, (1 0 -5); 2θ 47.6, rel. 21.8, (2 -2 0); 2θ 52.2, rel. 17.5, (1 -3 1); 2θ 52.6, rel. 14.2, (2 2 1); 2θ 53.6, rel. 14.1, (1 1 5); 2θ 61.5, rel. 13.8, (3 1 -5)

Cell and atoms:
a = 5.242 Å, b = 5.601 Å, c = 11.605 Å
α = 99.31°, β = 103.04°, γ = 90.04°
Space group P1 (No. 1)
One atom of each set of equivalent atoms:
Li 0.000 0.000 0.000 (multiplicity 1)
Li 0.112 0.111 0.323 (multiplicity 1)
Li 0.787 0.901 0.678 (multiplicity 1)
V 0.057 0.582 0.170 (multiplicity 1)
V 0.237 0.755 0.516 (multiplicity 1)
V 0.389 0.921 0.837 (multiplicity 1)
V 0.554 0.083 0.163 (multiplicity 1)
V 0.721 0.251 0.483 (multiplicity 1)
V 0.885 0.420 0.830 (multiplicity 1)
O 0.365 0.003 0.000 (multiplicity 1)
O 0.423 0.845 0.673 (multiplicity 1)
O 0.753 0.164 0.326 (multiplicity 1)
F 0.033 0.727 0.791 (multiplicity 1)
F 0.037 0.690 0.335 (multiplicity 1)
F 0.045 0.458 0.538 (multiplicity 1)
F 0.082 0.503 0.000 (multiplicity 1)
F 0.169 0.216 0.797 (multiplicity 1)
F 0.244 0.277 0.210 (multiplicity 1)
F 0.374 0.786 0.203 (multiplicity 1)
F 0.381 0.053 0.457 (multiplicity 1)
F 0.508 0.549 0.464 (multiplicity 1)
F 0.607 0.620 0.872 (multiplicity 1)
F 0.704 0.311 0.665 (multiplicity 1)
F 0.740 0.380 0.127 (multiplicity 1)
F 0.746 0.113 0.874 (multiplicity 1)
F 0.869 0.888 0.125 (multiplicity 1)
F 0.919 0.953 0.540 (multiplicity 1)



(3)
Structure and calculated powder diffractogram of LiV4OF11 (a cell relaxed with GGA+U; copper Kα).

Peak list (12 most intense, 15 to 90 degrees two-theta, in order of rising 2θ)
2θ 23.3, rel. 100.0, (0 2 2); 2θ 23.7, rel. 49.3, (1 -1 1); 2θ 32.4, rel. 10.0, (1 3 1); 2θ 32.7, rel. 18.6, (1 1 3); 2θ 39.4, rel. 19.2, (2 0 -2); 2θ 39.8, rel. 11.7, (1 -1 3); 2θ 47.6, rel. 21.2, (0 4 4); 2θ 48.4, rel. 9.4, (2 -2 2); 2θ 52.6, rel. 7.4, (1 5 3); 2θ 52.7, rel. 14.1, (2 4 0); 2θ 53.4, rel. 7.8, (3 -1 1); 2θ 60.9, rel. 11.5, (1 1 -5)

Cell and atoms:
a = 5.488 Å, b = 9.276 Å, c = 9.286 Å
α = 68.79°, β = 87.42°, γ = 86.44°
Space group P1 (No. 1)
One atom of each set of equivalent atoms:
Li 0.000 0.000 0.000 (multiplicity 1)
Li 0.414 0.982 0.482 (multiplicity 1)
V 0.454 0.871 0.847 (multiplicity 1)
V 0.458 0.614 0.610 (multiplicity 1)
V 0.466 0.365 0.362 (multiplicity 1)
V 0.487 0.111 0.111 (multiplicity 1)
V 0.949 0.871 0.348 (multiplicity 1)
V 0.958 0.615 0.110 (multiplicity 1)
V 0.966 0.367 0.861 (multiplicity 1)
V 0.983 0.109 0.613 (multiplicity 1)
O 0.270 0.990 0.677 (multiplicity 1)
O 0.774 0.991 0.175 (multiplicity 1)
F 0.148 0.805 0.987 (multiplicity 1)
F 0.162 0.234 0.036 (multiplicity 1)
F 0.164 0.747 0.532 (multiplicity 1)
F 0.166 0.297 0.483 (multiplicity 1)
F 0.261 0.433 0.735 (multiplicity 1)
F 0.263 0.490 0.184 (multiplicity 1)
F 0.269 0.941 0.228 (multiplicity 1)
F 0.454 0.043 0.929 (multiplicity 1)
F 0.461 0.683 0.785 (multiplicity 1)
F 0.462 0.174 0.304 (multiplicity 1)
F 0.466 0.547 0.433 (multiplicity 1)
F 0.639 0.807 0.486 (multiplicity 1)
F 0.661 0.742 0.032 (multiplicity 1)
F 0.663 0.298 0.983 (multiplicity 1)
F 0.667 0.239 0.535 (multiplicity 1)
F 0.759 0.434 0.234 (multiplicity 1)
F 0.765 0.491 0.683 (multiplicity 1)
F 0.768 0.938 0.732 (multiplicity 1)
F 0.960 0.683 0.288 (multiplicity 1)
F 0.961 0.176 0.805 (multiplicity 1)
F 0.970 0.547 0.933 (multiplicity 1)
F 0.981 0.040 0.429 (multiplicity 1)



(4)
Structure and calculated powder diffractogram of Li5V6O5F19 (a cell relaxed with GGA+U; copper Kα).

Peak list (12 most intense, 15 to 90 degrees two-theta, in order of rising 2θ)
2θ 16.7, rel. 100.0, (0 0 3); 2θ 25.2, rel. 80.2, (1 1 1); 2θ 25.3, rel. 77.9, (1 1 -2); 2θ 33.3, rel. 12.4, (0 2 -1); 2θ 33.8, rel. 16.2, (0 0 6); 2θ 41.5, rel. 10.7, (1 -2 4); 2θ 48.7, rel. 12.9, (2 -2 1); 2θ 48.8, rel. 11.9, (2 2 -1); 2θ 49.2, rel. 16.0, (-1 1 7); 2θ 49.5, rel. 9.0, (1 -1 8); 2θ 51.6, rel. 12.0, (0 0 9); 2θ 54.8, rel. 10.0, (1 -3 3)

Cell and atoms:
a = 5.185 Å, b = 5.386 Å, c = 16.139 Å
α = 99.19°, β = 90.07°, γ = 90.13°
Space group P1 (No. 1)
One atom of each set of equivalent atoms:
Li 0.000 0.000 0.000 (multiplicity 1)
Li 0.075 0.466 0.899 (multiplicity 1)
Li 0.334 0.003 0.301 (multiplicity 1)
Li 0.756 0.479 0.283 (multiplicity 1)
Li 0.869 0.210 0.615 (multiplicity 1)
V 0.017 0.646 0.125 (multiplicity 1)
V 0.024 0.976 0.788 (multiplicity 1)
V 0.069 0.315 0.455 (multiplicity 1)
V 0.507 0.149 0.117 (multiplicity 1)
V 0.550 0.518 0.789 (multiplicity 1)
V 0.563 0.872 0.461 (multiplicity 1)
O 0.251 0.962 0.101 (multiplicity 1)
O 0.326 0.106 0.435 (multiplicity 1)
O 0.823 0.416 0.144 (multiplicity 1)
O 0.824 0.085 0.476 (multiplicity 1)
O 0.833 0.727 0.810 (multiplicity 1)
F 0.116 0.417 0.568 (multiplicity 1)
F 0.124 0.107 0.903 (multiplicity 1)
F 0.138 0.740 0.236 (multiplicity 1)
F 0.228 0.304 0.770 (multiplicity 1)
F 0.262 0.610 0.434 (multiplicity 1)
F 0.323 0.446 0.092 (multiplicity 1)
F 0.341 0.796 0.766 (multiplicity 1)
F 0.426 0.582 0.898 (multiplicity 1)
F 0.466 0.905 0.569 (multiplicity 1)
F 0.472 0.252 0.237 (multiplicity 1)
F 0.612 0.788 0.340 (multiplicity 1)
F 0.627 0.422 0.677 (multiplicity 1)
F 0.658 0.112 0.011 (multiplicity 1)
F 0.744 0.230 0.816 (multiplicity 1)
F 0.758 0.913 0.149 (multiplicity 1)
F 0.761 0.579 0.468 (multiplicity 1)
F 0.950 0.952 0.676 (multiplicity 1)
F 0.961 0.647 0.006 (multiplicity 1)
F 0.973 0.277 0.339 (multiplicity 1)



(5)
Structure and calculated powder diffractogram of LiV3O4F2 (a cell relaxed with GGA+U; copper Kα).

Peak list (12 most intense, 15 to 90 degrees two-theta, in order of rising 2θ)
2θ 22.6, rel. 100.0, (1 1 1); 2θ 28.8, rel. 67.3, (1 2 1); 2θ 31.8, rel. 20.5, (3 0 1); 2θ 33.5, rel. 30.3, (3 1 1); 2θ 35.7, rel. 26.9, (2 3 0); 2θ 38.2, rel. 22.8, (3 2 1); 2θ 40.3, rel. 35.9, (2 3 1); 2θ 51.5, rel. 27.5, (4 0 2); 2θ 52.1, rel. 62.7, (2 3 2); 2θ 52.6, rel. 13.7, (5 2 1); 2θ 58.1, rel. 15.5, (5 3 1); 2θ 63.0, rel. 28.2, (6 3 0)

Cell and atoms:
a = 10.299 Å, b = 8.661 Å, c = 4.903 Å
α = 90.00°, β = 90.00°, γ = 90.00°
Space group Pnma (No. 62)
One atom of each set of equivalent atoms:
Li 0.220 0.250 0.044 (multiplicity 4)
V 0.101 0.750 0.963 (multiplicity 4)
V 0.142 0.075 0.488 (multiplicity 8)
O 0.062 0.250 0.262 (multiplicity 4)
O 0.199 0.582 0.755 (multiplicity 8)
O 0.233 0.250 0.675 (multiplicity 4)
F 0.032 0.589 0.266 (multiplicity 8)



(6)
Structure and calculated powder diffractogram of LiV5O7F (a cell relaxed with GGA+U; copper Kα).

Peak list (12 most intense, 15 to 90 degrees two-theta, in order of rising 2θ)
2θ 17.8, rel. 100.0, (0 1 -1); 2θ 18.0, rel. 37.4, (-1 1 1); 2θ 34.4, rel. 59.0, (2 0 -2); 2θ 34.6, rel. 59.8, (2 -1 1); 2θ 34.7, rel. 57.3, (1 -2 2); 2θ 41.8, rel. 42.4, (0 2 2); 2θ 42.0, rel. 41.7, (2 0 -4); 2θ 42.3, rel. 40.8, (2 -2 2); 2θ 60.3, rel. 23.1, (2 2 -2); 2θ 60.7, rel. 23.0, (2 0 4); 2θ 60.9, rel. 22.3, (0 2 -6); 2θ 61.3, rel. 42.1, (-2 2 6)

Cell and atoms:
a = 6.047 Å, b = 6.050 Å, c = 10.528 Å
α = 90.32°, β = 106.67°, γ = 118.95°
Space group P1 (No. 1)
One atom of each set of equivalent atoms:
Li 0.000 0.000 0.000 (multiplicity 1)
Li 0.001 0.502 0.497 (multiplicity 1)
V 0.104 0.578 0.194 (multiplicity 1)
V 0.106 0.089 0.694 (multiplicity 1)
V 0.230 0.648 0.882 (multiplicity 1)
V 0.231 0.142 0.384 (multiplicity 1)
V 0.601 0.331 0.939 (multiplicity 1)
V 0.605 0.076 0.195 (multiplicity 1)
V 0.608 0.585 0.695 (multiplicity 1)
V 0.608 0.836 0.441 (multiplicity 1)
V 0.610 0.566 0.189 (multiplicity 1)
V 0.622 0.070 0.691 (multiplicity 1)
O 0.357 0.935 0.316 (multiplicity 1)
O 0.360 0.692 0.079 (multiplicity 1)
O 0.361 0.451 0.812 (multiplicity 1)
O 0.361 0.466 0.312 (multiplicity 1)
O 0.369 0.977 0.815 (multiplicity 1)
O 0.370 0.211 0.582 (multiplicity 1)
O 0.397 0.225 0.065 (multiplicity 1)
O 0.399 0.706 0.565 (multiplicity 1)
O 0.836 0.443 0.815 (multiplicity 1)
O 0.837 0.924 0.315 (multiplicity 1)
O 0.852 0.663 0.067 (multiplicity 1)
O 0.857 0.174 0.565 (multiplicity 1)
O 0.857 0.454 0.298 (multiplicity 1)
O 0.864 0.932 0.801 (multiplicity 1)
F 0.856 0.205 0.067 (multiplicity 1)
F 0.861 0.711 0.568 (multiplicity 1)



(7)
Structure and calculated powder diffractogram of Li3V4O3F9 (a cell relaxed with GGA+U; copper Kα).

Peak list (12 most intense, 15 to 90 degrees two-theta, in order of rising 2θ)
2θ 23.4, rel. 96.7, (1 0 -2); 2θ 23.6, rel. 98.1, (0 1 -3); 2θ 23.7, rel. 100.0, (1 1 3); 2θ 32.4, rel. 55.5, (0 1 5); 2θ 32.5, rel. 30.4, (1 -1 1); 2θ 39.4, rel. 17.9, (1 0 -6); 2θ 39.6, rel. 18.4, (1 2 -4); 2θ 39.9, rel. 44.4, (1 -1 5); 2θ 47.7, rel. 20.5, (2 0 -4); 2θ 48.2, rel. 20.4, (0 2 -6); 2θ 48.5, rel. 19.1, (2 2 6); 2θ 53.0, rel. 48.3, (1 2 8)

Cell and atoms:
a = 5.191 Å, b = 5.530 Å, c = 17.320 Å
α = 88.12°, β = 82.33°, γ = 62.03°
Space group P1 (No. 1)
One atom of each set of equivalent atoms:
Li 0.000 0.000 0.000 (multiplicity 1)
Li 0.013 0.415 0.484 (multiplicity 1)
Li 0.172 0.991 0.630 (multiplicity 1)
Li 0.308 0.279 0.105 (multiplicity 1)
Li 0.452 0.345 0.753 (multiplicity 1)
Li 0.764 0.087 0.356 (multiplicity 1)
V 0.083 0.440 0.300 (multiplicity 1)
V 0.098 0.959 0.804 (multiplicity 1)
V 0.327 0.823 0.432 (multiplicity 1)
V 0.362 0.309 0.933 (multiplicity 1)
V 0.617 0.733 0.054 (multiplicity 1)
V 0.647 0.184 0.552 (multiplicity 1)
V 0.858 0.083 0.180 (multiplicity 1)
V 0.869 0.537 0.678 (multiplicity 1)
O 0.361 0.024 0.993 (multiplicity 1)
O 0.778 0.942 0.090 (multiplicity 1)
O 0.814 0.393 0.587 (multiplicity 1)
O 0.877 0.239 0.740 (multiplicity 1)
O 0.912 0.238 0.271 (multiplicity 1)
O 0.921 0.059 0.457 (multiplicity 1)
F 0.277 0.657 0.341 (multiplicity 1)
F 0.289 0.874 0.147 (multiplicity 1)
F 0.322 0.154 0.832 (multiplicity 1)
F 0.325 0.305 0.652 (multiplicity 1)
F 0.337 0.500 0.494 (multiplicity 1)
F 0.355 0.145 0.371 (multiplicity 1)
F 0.356 0.614 0.859 (multiplicity 1)
F 0.407 0.312 0.206 (multiplicity 1)
F 0.412 0.763 0.709 (multiplicity 1)
F 0.414 0.976 0.528 (multiplicity 1)
F 0.423 0.491 0.025 (multiplicity 1)
F 0.777 0.612 0.403 (multiplicity 1)
F 0.817 0.107 0.903 (multiplicity 1)
F 0.841 0.789 0.254 (multiplicity 1)
F 0.881 0.388 0.111 (multiplicity 1)
F 0.893 0.858 0.617 (multiplicity 1)
F 0.933 0.716 0.768 (multiplicity 1)
F 0.938 0.558 0.960 (multiplicity 1)



(8)
Structure and calculated powder diffractogram of Li3V4O11F (a cell relaxed with GGA+U; copper Kα).

Peak list (12 most intense, 15 to 90 degrees two-theta, in order of rising 2θ)
2θ 19.7, rel. 100.0, (0 1 -1); 2θ 21.1, rel. 16.3, (0 1 1); 2θ 21.5, rel. 90.5, (0 0 2); 2θ 21.7, rel. 16.2, (1 0 1); 2θ 22.2, rel. 33.4, (1 -1 0); 2θ 27.2, rel. 49.5, (1 1 0); 2θ 30.5, rel. 38.0, (-1 1 2); 2θ 39.1, rel. 44.5, (2 -1 1); 2θ 42.9, rel. 41.9, (1 2 -1); 2θ 48.8, rel. 28.9, (-1 1 4); 2θ 51.4, rel. 17.1, (2 -2 2); 2θ 57.3, rel. 15.4, (1 -3 2)

Cell and atoms:
a = 5.162 Å, b = 5.218 Å, c = 8.344 Å
α = 93.01°, β = 96.10°, γ = 100.95°
Space group P1 (No. 1)
One atom of each set of equivalent atoms:
Li 0.000 0.000 0.000 (multiplicity 1)
Li 0.059 0.769 0.586 (multiplicity 1)
Li 0.550 0.306 0.075 (multiplicity 1)
V 0.148 0.589 0.190 (multiplicity 1)
V 0.239 0.376 0.769 (multiplicity 1)
V 0.681 0.093 0.664 (multiplicity 1)
V 0.714 0.868 0.251 (multiplicity 1)
O 0.156 0.406 0.969 (multiplicity 1)
O 0.360 0.889 0.149 (multiplicity 1)
O 0.385 0.668 0.723 (multiplicity 1)
O 0.395 0.452 0.274 (multiplicity 1)
O 0.519 0.208 0.837 (multiplicity 1)
O 0.650 0.935 0.464 (multiplicity 1)
O 0.795 0.672 0.082 (multiplicity 1)
O 0.864 0.166 0.200 (multiplicity 1)
O 0.904 0.389 0.645 (multiplicity 1)
O 0.911 0.949 0.767 (multiplicity 1)
O 0.999 0.708 0.355 (multiplicity 1)
F 0.289 0.146 0.574 (multiplicity 1)



Number 8 is which compound?
Li3V4O11F



Copy entry 3 word for word.
Structure and calculated powder diffractogram of LiV4OF11 (a cell relaxed with GGA+U; copper Kα).

Peak list (12 most intense, 15 to 90 degrees two-theta, in order of rising 2θ)
2θ 23.3, rel. 100.0, (0 2 2); 2θ 23.7, rel. 49.3, (1 -1 1); 2θ 32.4, rel. 10.0, (1 3 1); 2θ 32.7, rel. 18.6, (1 1 3); 2θ 39.4, rel. 19.2, (2 0 -2); 2θ 39.8, rel. 11.7, (1 -1 3); 2θ 47.6, rel. 21.2, (0 4 4); 2θ 48.4, rel. 9.4, (2 -2 2); 2θ 52.6, rel. 7.4, (1 5 3); 2θ 52.7, rel. 14.1, (2 4 0); 2θ 53.4, rel. 7.8, (3 -1 1); 2θ 60.9, rel. 11.5, (1 1 -5)

Cell and atoms:
a = 5.488 Å, b = 9.276 Å, c = 9.286 Å
α = 68.79°, β = 87.42°, γ = 86.44°
Space group P1 (No. 1)
One atom of each set of equivalent atoms:
Li 0.000 0.000 0.000 (multiplicity 1)
Li 0.414 0.982 0.482 (multiplicity 1)
V 0.454 0.871 0.847 (multiplicity 1)
V 0.458 0.614 0.610 (multiplicity 1)
V 0.466 0.365 0.362 (multiplicity 1)
V 0.487 0.111 0.111 (multiplicity 1)
V 0.949 0.871 0.348 (multiplicity 1)
V 0.958 0.615 0.110 (multiplicity 1)
V 0.966 0.367 0.861 (multiplicity 1)
V 0.983 0.109 0.613 (multiplicity 1)
O 0.270 0.990 0.677 (multiplicity 1)
O 0.774 0.991 0.175 (multiplicity 1)
F 0.148 0.805 0.987 (multiplicity 1)
F 0.162 0.234 0.036 (multiplicity 1)
F 0.164 0.747 0.532 (multiplicity 1)
F 0.166 0.297 0.483 (multiplicity 1)
F 0.261 0.433 0.735 (multiplicity 1)
F 0.263 0.490 0.184 (multiplicity 1)
F 0.269 0.941 0.228 (multiplicity 1)
F 0.454 0.043 0.929 (multiplicity 1)
F 0.461 0.683 0.785 (multiplicity 1)
F 0.462 0.174 0.304 (multiplicity 1)
F 0.466 0.547 0.433 (multiplicity 1)
F 0.639 0.807 0.486 (multiplicity 1)
F 0.661 0.742 0.032 (multiplicity 1)
F 0.663 0.298 0.983 (multiplicity 1)
F 0.667 0.239 0.535 (multiplicity 1)
F 0.759 0.434 0.234 (multiplicity 1)
F 0.765 0.491 0.683 (multiplicity 1)
F 0.768 0.938 0.732 (multiplicity 1)
F 0.960 0.683 0.288 (multiplicity 1)
F 0.961 0.176 0.805 (multiplicity 1)
F 0.970 0.547 0.933 (multiplicity 1)
F 0.981 0.040 0.429 (multiplicity 1)